Structure and computed powder X-ray diffraction pattern of CaAl8Co2 (a structure optimized by DFT (GGA-PBE); λ = 1.5418 Å (Cu Kα)).
Intensities are scaled so that the largest is 100.

Main lines, in order of rising 2θ (15° ≤ 2θ ≤ 90°):
| two_theta | I_rel |
| --- | --- |
| 15.47 | 39 |
| 22.24 | 56 |
| 23.28 | 40 |
| 34.31 | 78 |
| 36.44 | 100 |
| 37.24 | 34 |
| 43.89 | 44 |
| 44.06 | 44 |
| 44.44 | 89 |
| 44.73 | 81 |
| 45.88 | 83 |
| 46.16 | 46 |

Structural model:
```
44
Lattice="12.472 0.000 0.000 0.000 14.506 0.000 0.000 0.000 3.956" Properties=species:S:1:pos:R:3 pbc="T T T"
Ca 1.983 2.627 0.000
Ca 4.253 9.880 0.000
Ca 8.219 4.626 0.000
Ca 10.490 11.879 0.000
Al 0.000 0.000 0.000
Al 0.000 7.253 1.978
Al 0.320 12.575 1.978
Al 0.599 4.651 1.978
Al 1.204 10.811 0.000
Al 2.011 6.597 0.000
Al 2.004 8.977 1.978
Al 2.099 0.102 1.978
Al 2.946 11.989 1.978
Al 3.291 4.736 1.978
Al 4.137 7.355 1.978
Al 4.232 1.724 1.978
Al 4.225 13.850 0.000
Al 5.032 3.558 0.000
Al 5.637 11.904 1.978
Al 5.916 5.322 1.978
Al 6.236 0.000 1.978
Al 6.236 7.253 0.000
Al 6.556 9.184 1.978
Al 6.835 2.602 1.978
Al 7.440 10.948 0.000
Al 8.248 0.656 0.000
Al 8.240 12.782 1.978
Al 8.335 7.151 1.978
Al 9.182 9.770 1.978
Al 9.527 2.517 1.978
Al 10.373 14.404 1.978
Al 10.468 5.529 1.978
Al 10.461 7.909 0.000
Al 11.268 3.695 0.000
Al 11.873 9.855 1.978
Al 12.152 1.931 1.978
Co 0.430 8.601 0.000
Co 1.866 13.079 0.000
Co 4.370 5.826 0.000
Co 5.806 1.348 0.000
Co 6.667 13.158 0.000
Co 8.102 8.680 0.000
Co 10.607 1.427 0.000
Co 12.042 5.905 0.000
```